The following is a computed powder diffraction line list of SrCe2ReN4. It was derived from DFT lattice parameters and positions (PBE), using Cu Kα (λ = 1.5418 Å).

Most intense lines, 2θ from 10° to 90°, low angle first:
- 16.32 deg, d = 5.431 Å, rel. 65, (0 2 1)
- 28.66 deg, d = 3.115 Å, rel. 51, (0 0 4)
- 29.73 deg, d = 3.005 Å, rel. 100, (1 1 2)
- 30.48 deg, d = 2.933 Å, rel. 46, (0 4 1)
- 33.89 deg, d = 2.645 Å, rel. 60, (1 1 3)
- 34.31 deg, d = 2.614 Å, rel. 47, (1 3 1)
- 36.58 deg, d = 2.457 Å, rel. 88, (1 3 2)
- 39.10 deg, d = 2.304 Å, rel. 42, (0 2 5)
- 50.04 deg, d = 1.823 Å, rel. 32, (1 3 5)
- 50.64 deg, d = 1.803 Å, rel. 34, (1 5 3)

Structural model:
```
data_SrCe2ReN4
_chemical_formula_sum 'Sr4 Ce8 Re4 N16'
_symmetry_space_group_name_H-M 'C m c m'
_symmetry_Int_Tables_number 63
_symmetry_space_group_name_Hall '-C 2c 2'
_cell_length_a 3.5773
_cell_length_b 12.0698
_cell_length_c 12.4610
_cell_angle_alpha 90.00
_cell_angle_beta 90.00
_cell_angle_gamma 90.00
loop_
_atom_site_label
_atom_site_type_symbol
_atom_site_fract_x
_atom_site_fract_y
_atom_site_fract_z
Sr1 Sr 0.0000 0.0723 0.2500
Ce1 Ce 0.0000 0.3672 0.0470
Re1 Re 0.0000 0.1870 0.7500
N1 N 0.0000 0.0000 0.0000
N2 N 0.0000 0.2528 0.6070
N3 N 0.0000 0.3950 0.2500
```